This entry pairs a crystal structure of CrPb4Au2 with its theoretical X-ray powder pattern. Radiation: Cu Kα, 1.54184 Å. Structure: DFT lattice parameters and positions (PBE).

Atomic structure:
```
7
Lattice="-2.716 2.716 6.800 2.716 -2.716 6.800 2.716 2.716 -6.800" Properties=species:S:1:pos:R:3 pbc="T T T"
Cr 0.000 0.000 0.000
Pb 2.716 0.000 0.000
Pb 0.000 0.000 2.644
Pb 0.000 2.716 0.000
Pb 0.000 0.000 10.956
Au 0.000 0.000 5.361
Au 0.000 0.000 8.240
```

Principal peaks in the range 2θ from 10° to 90°, in order of rising 2θ:
2θ 23.16, intensity 30
2θ 26.66, intensity 69
2θ 32.98, intensity 100
2θ 35.25, intensity 42
2θ 36.96, intensity 66
2θ 47.34, intensity 37
2θ 50.36, intensity 55
2θ 55.15, intensity 20
2θ 60.38, intensity 19
2θ 71.60, intensity 20